Entry 1:
For Cd3Pd, DFT lattice parameters and positions (PBE) gives the calculated XRD peak list in this record (a wavelength of 1.5418 Å).

The 9 most intense peaks (10° ≤ 2θ ≤ 90°), in order of falling intensity:
2theta	intensity	(hkl)
36.53	100	1 1 2
43.58	30	2 0 0
75.38	22	3 1 2
60.68	22	2 0 4
40.07	19	0 0 4
70.48	14	1 1 6
77.63	10	2 2 4
63.33	9	2 2 0
86.49	2	0 0 8

Structure:
```
data_Cd3Pd
_chemical_formula_sum 'Cd6 Pd2'
_space_group_name_H-M_alt 'I 4/m m m'
_space_group_IT_number 139
_space_group_name_Hall '-I 4 2'
_cell_length_a 4.154
_cell_length_b 4.154
_cell_length_c 9.002
_cell_angle_alpha 90.00
_cell_angle_beta 90.00
_cell_angle_gamma 90.00
loop_
_atom_site_label
_atom_site_type_symbol
_atom_site_fract_x
_atom_site_fract_y
_atom_site_fract_z
Cd1 Cd 0.000 0.000 0.000
Cd2 Cd 0.000 0.500 0.250
Pd1 Pd 0.000 0.000 0.500
```

=====

Entry 2:
For Cd43Pd8, DFT lattice parameters and positions (PBE) gives the calculated XRD peak list in this record (a wavelength of 1.5418 Å).

The 10 most intense peaks (10° ≤ 2θ ≤ 90°), in order of falling intensity:
2theta	intensity	(hkl)
37.45	100	0 3 6
67.59	10	3 6 6
41.57	8	1 5 2
67.51	8	5 1 10
30.38	6	0 0 6
43.51	5	2 4 4
32.90	5	4 1 0
53.98	5	6 0 6
63.26	5	0 8 4
75.91	4	8 3 2

Structure:
```
data_Cd43Pd8
_chemical_formula_sum 'Cd129 Pd24'
_space_group_name_H-M_alt 'R 3 m'
_space_group_IT_number 160
_space_group_name_Hall 'R 3 -2"'
_cell_length_a 14.3989
_cell_length_b 14.3989
_cell_length_c 17.6747
_cell_angle_alpha 90.00
_cell_angle_beta 90.00
_cell_angle_gamma 120.00
loop_
_atom_site_label
_atom_site_type_symbol
_atom_site_fract_x
_atom_site_fract_y
_atom_site_fract_z
Cd1 Cd 0.0000 0.0000 0.0000
Cd2 Cd 0.0409 0.3440 0.5465
Cd3 Cd 0.0434 0.3465 0.0460
Cd4 Cd 0.0805 0.1611 0.6083
Cd5 Cd 0.0870 0.1740 0.1148
Cd6 Cd 0.0951 0.5476 0.4412
Cd7 Cd 0.0955 0.5478 0.9419
Cd8 Cd 0.1350 0.0675 0.3654
Cd9 Cd 0.1409 0.0705 0.8594
Cd10 Cd 0.2142 0.4284 0.6808
Cd11 Cd 0.2164 0.4327 0.8747
Cd12 Cd 0.2170 0.4341 0.3711
Cd13 Cd 0.2206 0.4412 0.1816
Pd1 Pd 0.0000 0.0000 0.2240
Pd2 Pd 0.0000 0.0000 0.7244
Pd3 Pd 0.0999 0.5499 0.1183
Pd4 Pd 0.1045 0.5522 0.6189
```

=====

Entry 3:
For Cd3Pd, DFT lattice parameters and positions (PBE) gives the calculated XRD peak list in this record (a wavelength of 1.5418 Å).

The 10 most intense peaks (10° ≤ 2θ ≤ 90°), in order of falling intensity:
2theta	intensity	(hkl)
39.11	100	2 0 1
36.30	28	0 0 2
34.46	24	2 0 0
73.78	19	2 2 2
67.18	19	2 0 3
61.74	16	2 2 0
50.92	15	2 0 2
75.56	13	4 0 1
84.04	3	4 0 2
87.24	3	2 0 4

Structure:
```
data_Cd3Pd
_chemical_formula_sum 'Cd6 Pd2'
_space_group_name_H-M_alt 'P 63/m m c'
_space_group_IT_number 194
_space_group_name_Hall '-P 6c 2c'
_cell_length_a 6.0099
_cell_length_b 6.0099
_cell_length_c 4.9493
_cell_angle_alpha 90.00
_cell_angle_beta 90.00
_cell_angle_gamma 120.00
loop_
_atom_site_label
_atom_site_type_symbol
_atom_site_fract_x
_atom_site_fract_y
_atom_site_fract_z
Cd1 Cd 0.1708 0.3416 0.2500
Pd1 Pd 0.3333 0.6667 0.7500
```

=====

Entry 4:
For Cd3Pd, DFT lattice parameters and positions (PBE) gives the calculated XRD peak list in this record (a wavelength of 1.5418 Å).

The 5 most intense peaks (10° ≤ 2θ ≤ 90°), in order of falling intensity:
2theta	intensity	(hkl)
36.54	100	1 1 1
42.44	49	2 0 0
73.77	36	3 1 1
61.58	31	2 2 0
77.65	10	2 2 2

Structure:
```
data_Cd3Pd
_chemical_formula_sum 'Cd3 Pd1'
_space_group_name_H-M_alt 'P m -3 m'
_space_group_IT_number 221
_space_group_name_Hall '-P 4 2 3'
_cell_length_a 4.260
_cell_length_b 4.260
_cell_length_c 4.260
_cell_angle_alpha 90.00
_cell_angle_beta 90.00
_cell_angle_gamma 90.00
loop_
_atom_site_label
_atom_site_type_symbol
_atom_site_fract_x
_atom_site_fract_y
_atom_site_fract_z
Cd1 Cd 0.000 0.000 0.500
Pd1 Pd 0.500 0.500 0.500
```

=====

Entry 5:
For PmCdPd2, DFT lattice parameters and positions (PBE) gives the calculated XRD peak list in this record (a wavelength of 1.5418 Å).

The 8 most intense peaks (10° ≤ 2θ ≤ 90°), in order of falling intensity:
2theta	intensity	(hkl)
36.78	100	2 2 0
66.24	35	4 2 2
52.99	17	4 0 0
89.72	16	6 2 0
78.24	11	4 4 0
25.78	1	2 0 0
22.28	1	1 1 1
43.42	1	3 1 1

Structure:
```
data_PmCdPd2
_chemical_formula_sum 'Pm4 Cd4 Pd8'
_space_group_name_H-M_alt 'F m -3 m'
_space_group_IT_number 225
_space_group_name_Hall '-F 4 2 3'
_cell_length_a 6.912
_cell_length_b 6.912
_cell_length_c 6.912
_cell_angle_alpha 90.00
_cell_angle_beta 90.00
_cell_angle_gamma 90.00
loop_
_atom_site_label
_atom_site_type_symbol
_atom_site_fract_x
_atom_site_fract_y
_atom_site_fract_z
Pm1 Pm 0.000 0.000 0.000
Cd1 Cd 0.000 0.000 0.500
Pd1 Pd 0.250 0.250 0.250
```

=====

Entry 6:
For Pr6Cd4Pd13, DFT lattice parameters and positions (PBE) gives the calculated XRD peak list in this record (a wavelength of 1.5418 Å).

The 10 most intense peaks (10° ≤ 2θ ≤ 90°), in order of falling intensity:
2theta	intensity	(hkl)
38.49	100	3 3 0
69.63	30	6 3 3
28.45	23	3 1 0
31.23	15	2 2 2
36.21	14	4 0 0
82.49	11	6 6 0
40.67	11	4 2 0
33.80	9	3 2 1
62.05	9	6 2 2
55.57	9	6 0 0

Structure:
```
data_Pr6Cd4Pd13
_chemical_formula_sum 'Pr12 Cd8 Pd26'
_space_group_name_H-M_alt 'I m -3 m'
_space_group_IT_number 229
_space_group_name_Hall '-I 4 2 3'
_cell_length_a 9.922
_cell_length_b 9.922
_cell_length_c 9.922
_cell_angle_alpha 90.00
_cell_angle_beta 90.00
_cell_angle_gamma 90.00
loop_
_atom_site_label
_atom_site_type_symbol
_atom_site_fract_x
_atom_site_fract_y
_atom_site_fract_z
Pr1 Pr 0.000 0.000 0.302
Cd1 Cd 0.250 0.250 0.250
Pd1 Pd 0.000 0.000 0.000
Pd2 Pd 0.000 0.341 0.341
```